No. 1
For Hg3SbBr, a GGA-PBE-relaxed structure gives the calculated powder diffraction line list in this record (CuKα).

Cell and atoms:
```
data_Hg3SbBr
_cell_length_a 18.3046
_cell_length_b 18.3046
_cell_length_c 11.7793
_cell_angle_alpha 90.00
_cell_angle_beta 90.00
_cell_angle_gamma 120.00
_space_group_name_H-M_alt 'R -3'
_space_group_IT_number 148
_space_group_name_Hall '-R 3'
loop_
_atom_site_label
_atom_site_type_symbol
_atom_site_fract_x
_atom_site_fract_y
_atom_site_fract_z
_atom_site_occupancy
Hg1 Hg 0.0088 0.2808 0.3532 1
Hg2 Hg 0.0492 0.8408 0.1298 1
Hg3 Hg 0.0928 0.5446 0.2939 1
Sb1 Sb 0.0555 0.8229 0.3585 1
Br1 Br 0.0452 0.8398 0.9070 1
```

Principal peaks in the range 2θ from 15° to 90°, most intense first:
h k l  2θ/deg  I (rel.)
1 0 4  30.8  100
4 1 0  25.8  74
3 -1 4  33.9  57
1 2 2  21.2  43
6 -1 1  32.4  36
6 -5 5  50.3  35
7 0 1  40.6  34
3 3 0  29.3  34
5 -2 1  25.6  33
0 5 1  29.2  33

No. 2
For Hg5Sb2Br4, a GGA-PBE-relaxed structure gives the calculated powder diffraction line list in this record (CuKα).

Cell and atoms:
```
data_Hg5Sb2Br4
_cell_length_a 9.5334
_cell_length_b 8.5009
_cell_length_c 10.5152
_cell_angle_alpha 90.00
_cell_angle_beta 108.31
_cell_angle_gamma 90.00
_space_group_name_H-M_alt 'C 1 m 1'
_space_group_IT_number 8
_space_group_name_Hall 'C -2y'
loop_
_atom_site_label
_atom_site_type_symbol
_atom_site_fract_x
_atom_site_fract_y
_atom_site_fract_z
_atom_site_occupancy
Hg1 Hg 0.0000 0.0000 0.0000 1
Hg2 Hg 0.1631 0.3312 0.7643 1
Hg3 Hg 0.3358 0.1688 0.2357 1
Sb1 Sb 0.1684 0.0000 0.8192 1
Sb2 Sb 0.3311 0.5000 0.1804 1
Br1 Br 0.0938 0.0000 0.3698 1
Br2 Br 0.4048 0.5000 0.6305 1
Br3 Br 0.4990 0.0000 0.9999 1
Br4 Br 0.4991 0.0000 0.5001 1
```

Principal peaks in the range 2θ from 15° to 90°, most intense first:
h k l  2θ/deg  I (rel.)
2 0 -3  27.8  100
2 0 -1  18.8  75
2 0 2  30.5  73
1 3 1  35.2  71
2 0 1  24.0  61
0 0 2  17.8  58
1 1 -1  15.1  56
1 3 0  33.1  53
0 2 2  27.6  45
1 3 -2  36.3  41

No. 3
For Hg5Sb2Br2, a GGA-PBE-relaxed structure gives the calculated powder diffraction line list in this record (CuKα).

Cell and atoms:
```
data_Hg5Sb2Br2
_cell_length_a 5.9933
_cell_length_b 7.1683
_cell_length_c 7.3714
_cell_angle_alpha 96.22
_cell_angle_beta 113.84
_cell_angle_gamma 90.09
_space_group_name_H-M_alt 'P -1'
_space_group_IT_number 2
_space_group_name_Hall '-P 1'
loop_
_atom_site_label
_atom_site_type_symbol
_atom_site_fract_x
_atom_site_fract_y
_atom_site_fract_z
_atom_site_occupancy
Hg1 Hg 0.0000 0.0000 0.0000 1
Hg2 Hg 0.2014 0.7747 0.4037 1
Hg3 Hg 0.4033 0.5863 0.8056 1
Sb1 Sb 0.0906 0.4142 0.1824 1
Br1 Br 0.3438 0.0853 0.6878 1
```

Principal peaks in the range 2θ from 15° to 90°, most intense first:
h k l  2θ/deg  I (rel.)
2 0 -1  29.8  100
1 1 0  21.0  44
0 1 -2  28.1  43
2 2 0  42.7  36
1 2 -2  33.8  28
2 1 2  54.0  19
4 2 -1  70.2  17
1 0 2  36.8  17
0 1 3  43.9  17
2 -1 1  41.4  16

No. 4
For Hg4Sb2Br3, a GGA-PBE-relaxed structure gives the calculated powder diffraction line list in this record (CuKα).

Cell and atoms:
```
data_Hg4Sb2Br3
_cell_length_a 14.3223
_cell_length_b 13.2635
_cell_length_c 7.5330
_cell_angle_alpha 90.00
_cell_angle_beta 105.50
_cell_angle_gamma 90.00
_space_group_name_H-M_alt 'C 1 2/c 1'
_space_group_IT_number 15
_space_group_name_Hall '-C 2yc'
loop_
_atom_site_label
_atom_site_type_symbol
_atom_site_fract_x
_atom_site_fract_y
_atom_site_fract_z
_atom_site_occupancy
Hg1 Hg 0.0963 0.1165 0.0510 1
Hg2 Hg 0.1670 0.4927 0.5931 1
Sb1 Sb 0.2130 0.3489 0.8845 1
Br1 Br 0.0000 0.4273 0.2500 1
Br2 Br 0.0905 0.1261 0.5322 1
```

Principal peaks in the range 2θ from 15° to 90°, most intense first:
h k l  2θ/deg  I (rel.)
1 3 -2  31.2  100
0 0 2  24.5  68
5 1 0  33.2  63
1 3 0  21.1  63
1 5 -2  41.6  41
2 2 -1  20.3  36
1 1 1  16.6  34
3 1 0  20.4  33
6 4 0  48.1  29
4 4 2  49.4  29

No. 5
For Hg5Sb2Br5, a GGA-PBE-relaxed structure gives the calculated powder diffraction line list in this record (CuKα).

Cell and atoms:
```
data_Hg5Sb2Br5
_cell_length_a 6.9441
_cell_length_b 7.5343
_cell_length_c 9.9149
_cell_angle_alpha 69.31
_cell_angle_beta 84.94
_cell_angle_gamma 72.47
_space_group_name_H-M_alt 'P -1'
_space_group_IT_number 2
_space_group_name_Hall '-P 1'
loop_
_atom_site_label
_atom_site_type_symbol
_atom_site_fract_x
_atom_site_fract_y
_atom_site_fract_z
_atom_site_occupancy
Hg1 Hg 0.0000 0.0000 0.0000 1
Hg2 Hg 0.0017 0.4096 0.3983 1
Hg3 Hg 0.3287 0.9023 0.3500 1
Sb1 Sb 0.0197 0.2207 0.1832 1
Br1 Br 0.2662 0.9848 0.6494 1
Br2 Br 0.2967 0.3825 0.0150 1
Br3 Br 0.5000 0.5000 0.5000 1
```

Principal peaks in the range 2θ from 15° to 90°, most intense first:
h k l  2θ/deg  I (rel.)
1 -1 1  25.4  100
2 1 -1  29.4  78
1 1 -1  20.6  76
1 2 3  31.7  66
0 2 3  31.8  65
2 -1 1  36.3  59
2 1 0  26.4  42
2 1 1  26.6  40
-1 1 4  40.0  39
-1 1 1  21.3  39

No. 6
For Hg3SbBr9, a GGA-PBE-relaxed structure gives the calculated powder diffraction line list in this record (CuKα).

Cell and atoms:
```
data_Hg3SbBr9
_cell_length_a 20.0195
_cell_length_b 10.8507
_cell_length_c 13.6855
_cell_angle_alpha 90.00
_cell_angle_beta 132.39
_cell_angle_gamma 90.00
_space_group_name_H-M_alt 'C 1 c 1'
_space_group_IT_number 9
_space_group_name_Hall 'C -2yc'
loop_
_atom_site_label
_atom_site_type_symbol
_atom_site_fract_x
_atom_site_fract_y
_atom_site_fract_z
_atom_site_occupancy
Hg1 Hg 0.0000 0.0711 0.0000 1
Hg2 Hg 0.2052 0.4190 0.1208 1
Hg3 Hg 0.4413 0.0862 0.2338 1
Sb1 Sb 0.1265 0.2314 0.4227 1
Br1 Br 0.1147 0.0931 0.6230 1
Br2 Br 0.1185 0.3907 0.2703 1
Br3 Br 0.1309 0.2360 0.9763 1
Br4 Br 0.2517 0.0976 0.4720 1
Br5 Br 0.2756 0.3792 0.7259 1
Br6 Br 0.3789 0.2723 0.3684 1
Br7 Br 0.3877 0.2289 0.0560 1
Br8 Br 0.4889 0.0668 0.9047 1
Br9 Br 0.4929 0.4073 0.7346 1
```

Principal peaks in the range 2θ from 15° to 90°, most intense first:
h k l  2θ/deg  I (rel.)
3 1 -2  16.5  100
2 2 1  25.2  72
5 1 -4  28.1  42
4 2 0  29.2  37
4 2 -2  24.2  37
2 2 -1  18.6  36
1 1 2  23.6  33
4 2 -3  26.3  28
3 1 0  19.8  28
2 4 1  38.4  27

No. 7
For ScTlHgBr6, a GGA-PBE-relaxed structure gives the calculated powder diffraction line list in this record (CuKα).

Cell and atoms:
```
data_ScTlHgBr6
_cell_length_a 7.2008
_cell_length_b 12.4913
_cell_length_c 7.2212
_cell_angle_alpha 90.00
_cell_angle_beta 90.09
_cell_angle_gamma 90.00
_space_group_name_H-M_alt 'C 1 2 1'
_space_group_IT_number 5
_space_group_name_Hall 'C 2y'
loop_
_atom_site_label
_atom_site_type_symbol
_atom_site_fract_x
_atom_site_fract_y
_atom_site_fract_z
_atom_site_occupancy
Sc1 Sc 0.0000 0.0000 0.0000 1
Tl1 Tl 0.0000 0.6664 0.5000 1
Hg1 Hg 0.0000 0.3331 0.0000 1
Br1 Br 0.1274 0.1568 0.7812 1
Br2 Br 0.1721 0.8578 0.7814 1
Br3 Br 0.2008 0.4848 0.7807 1
```

Principal peaks in the range 2θ from 15° to 90°, most intense first:
h k l  2θ/deg  I (rel.)
1 1 1  18.8  100
2 0 2  35.2  76
2 0 1  27.7  48
2 4 -1  40.2  39
3 3 0  43.5  32
0 4 0  28.6  25
2 2 1  31.2  24
1 7 1  54.5  19
0 4 3  47.7  13
2 6 2  57.1  12

No. 8
For Hg2Se2Br, a GGA-PBE-relaxed structure gives the calculated powder diffraction line list in this record (CuKα).

Cell and atoms:
```
data_Hg2Se2Br
_cell_length_a 6.4977
_cell_length_b 7.0242
_cell_length_c 7.9285
_cell_angle_alpha 93.63
_cell_angle_beta 112.78
_cell_angle_gamma 108.86
_space_group_name_H-M_alt 'P -1'
_space_group_IT_number 2
_space_group_name_Hall '-P 1'
loop_
_atom_site_label
_atom_site_type_symbol
_atom_site_fract_x
_atom_site_fract_y
_atom_site_fract_z
_atom_site_occupancy
Hg1 Hg 0.0764 0.2627 0.1258 1
Hg2 Hg 0.3081 0.2774 0.7438 1
Se1 Se 0.0892 0.8914 0.2362 1
Se2 Se 0.3867 0.5961 0.4001 1
Br1 Br 0.3549 0.7190 0.8650 1
```

Principal peaks in the range 2θ from 15° to 90°, most intense first:
h k l  2θ/deg  I (rel.)
2 0 -2  31.1  100
1 -1 0  16.6  93
0 2 0  27.5  71
1 -2 1  29.4  60
2 0 -1  29.1  57
0 1 -2  25.8  39
0 0 2  25.0  37
1 0 1  24.2  34
2 -3 1  45.6  33
-2 1 4  48.9  29

No. 9
For Hg3SeBr3, a GGA-PBE-relaxed structure gives the calculated powder diffraction line list in this record (CuKα).

Cell and atoms:
```
data_Hg3SeBr3
_cell_length_a 8.7509
_cell_length_b 7.0517
_cell_length_c 9.0364
_cell_angle_alpha 90.00
_cell_angle_beta 116.35
_cell_angle_gamma 90.00
_space_group_name_H-M_alt 'P 1 21/m 1'
_space_group_IT_number 11
_space_group_name_Hall '-P 2yb'
loop_
_atom_site_label
_atom_site_type_symbol
_atom_site_fract_x
_atom_site_fract_y
_atom_site_fract_z
_atom_site_occupancy
Hg1 Hg 0.0874 0.2500 0.1890 1
Hg2 Hg 0.2692 0.2500 0.8354 1
Hg3 Hg 0.3863 0.7500 0.5467 1
Se1 Se 0.3557 0.2500 0.1539 1
Br1 Br 0.0999 0.7500 0.2686 1
Br2 Br 0.1984 0.7500 0.8065 1
Br3 Br 0.3407 0.2500 0.5808 1
```

Principal peaks in the range 2θ from 15° to 90°, most intense first:
h k l  2θ/deg  I (rel.)
0 2 0  25.3  100
3 2 -2  40.7  40
0 2 3  42.2  33
1 1 1  22.8  29
1 1 -2  23.4  29
3 0 -2  31.4  25
2 1 -1  24.0  24
1 0 1  18.9  24
0 0 3  33.2  23
1 0 -2  19.7  19